# 1
For Pu2US5, DFT lattice parameters and positions (GGA-PBE) gives the calculated powder diffractogram in this record (Cu Ka).

Unit cell a=11.2816 b=7.8359 c=7.2029 alpha=90.00 beta=90.00 gamma=90.00
Space group Pnma (No. 62)
Inequivalent atoms, fractional coordinates:
Pu1 0.1785 0.0027 0.0242 x8
U1 0.0114 0.2500 0.5798 x4
S1 0.0013 0.7500 0.0346 x4
S2 0.0947 0.5498 0.6704 x8
S3 0.1911 0.2500 0.3282 x4
S4 0.2211 0.7500 0.2976 x4

Principal peaks in the range 2θ = 15–90°, by angle:
2θ 24.7, rel. 47, (0 0 2); 2θ 26.7, rel. 100, (3 0 1); 2θ 27.1, rel. 70, (1 2 1); 2θ 27.7, rel. 60, (2 2 0); 2θ 35.4, rel. 26, (3 2 1); 2θ 37.5, rel. 57, (2 2 2); 2θ 39.4, rel. 19, (4 2 0); 2θ 46.3, rel. 22, (0 4 0); 2θ 48.2, rel. 39, (5 2 1); 2θ 54.3, rel. 31, (3 4 1)

***

# 2
For Sr4CaSm2Ta2O12, DFT lattice parameters and positions (GGA-PBE) gives the calculated powder diffractogram in this record (Cu Ka).

Unit cell a=6.0025 b=6.0619 c=9.6986 alpha=79.84 beta=80.97 gamma=86.31
Space group P1 (No. 1)
Inequivalent atoms, fractional coordinates:
Sr1 0.0000 0.0000 0.0000 x1
Sr2 0.0030 0.8652 0.4447 x1
Sr3 0.4648 0.2184 0.8517 x1
Sr4 0.5218 0.3583 0.4453 x1
Ca1 0.6450 0.5384 0.0421 x1
Sm1 0.0786 0.4269 0.2252 x1
Sm2 0.4491 0.8015 0.6612 x1
Ta1 0.5297 0.9326 0.2208 x1
Ta2 0.9628 0.3197 0.6572 x1
O1 0.0573 0.2732 0.4505 x1
O2 0.1791 0.0725 0.7308 x1
O3 0.2082 0.5395 0.6204 x1
O4 0.2597 0.1056 0.1652 x1
O5 0.3640 0.6393 0.2499 x1
O6 0.4499 0.9427 0.4269 x1
O7 0.6175 0.9144 0.0141 x1
O8 0.7136 0.0925 0.6487 x1
O9 0.7303 0.2024 0.2027 x1
O10 0.7408 0.5650 0.5901 x1
O11 0.8148 0.7183 0.2394 x1
O12 0.8367 0.3452 0.8542 x1

Principal peaks in the range 2θ = 15–90°, by angle:
2θ 18.8, rel. 30, (0 0 2); 2θ 20.7, rel. 35, (1 1 1); 2θ 24.7, rel. 27, (1 1 2); 2θ 28.5, rel. 38, (-1 1 2); 2θ 28.9, rel. 70, (1 -1 2); 2θ 29.9, rel. 42, (0 2 1); 2θ 30.2, rel. 45, (2 0 0); 2θ 31.2, rel. 100, (1 1 -2); 2θ 41.0, rel. 36, (2 2 1); 2θ 43.9, rel. 28, (2 -2 0)

***

# 3
For USeS, DFT lattice parameters and positions (GGA-PBE) gives the calculated powder diffractogram in this record (Cu Ka).

Unit cell a=7.3169 b=4.0795 c=8.6677 alpha=90.00 beta=90.00 gamma=90.00
Space group Pnma (No. 62)
Inequivalent atoms, fractional coordinates:
U1 0.2266 0.2500 0.1269 x4
Se1 0.0296 0.7500 0.3359 x4
S1 0.1454 0.7500 0.9296 x4

Principal peaks in the range 2θ = 15–90°, by angle:
2θ 23.9, rel. 91, (1 0 2); 2θ 24.1, rel. 29, (0 1 1); 2θ 24.3, rel. 27, (2 0 0); 2θ 27.1, rel. 73, (1 1 1); 2θ 32.5, rel. 33, (1 1 2); 2θ 34.5, rel. 100, (2 1 1); 2θ 40.2, rel. 46, (1 1 3); 2θ 42.5, rel. 36, (3 0 2); 2θ 44.4, rel. 29, (0 2 0); 2θ 51.0, rel. 26, (1 2 2)

***

# 4
For LiCuP3O9, DFT lattice parameters and positions (GGA-PBE) gives the calculated powder diffractogram in this record (Cu Ka).

Unit cell a=5.4091 b=10.6583 c=11.4877 alpha=90.00 beta=90.00 gamma=90.00
Space group P2_12_12_1 (No. 19)
Inequivalent atoms, fractional coordinates:
Li1 0.0890 0.1192 0.0762 x4
Cu1 0.0906 0.4687 0.1400 x4
P1 0.0681 0.1946 0.8211 x4
P2 0.1265 0.5749 0.8785 x4
P3 0.1281 0.8511 0.8660 x4
O1 0.0084 0.4412 0.5592 x4
O2 0.0193 0.4886 0.9685 x4
O3 0.0481 0.3213 0.7453 x4
O4 0.0881 0.0905 0.7188 x4
O5 0.1169 0.1161 0.3212 x4
O6 0.1379 0.4633 0.3161 x4
O7 0.1416 0.7152 0.9295 x4
O8 0.1761 0.6785 0.6146 x4
O9 0.1973 0.8044 0.3883 x4

Principal peaks in the range 2θ = 15–90°, by angle:
2θ 16.6, rel. 31, (0 2 0); 2θ 17.5, rel. 95, (0 1 2); 2θ 18.1, rel. 30, (1 0 1); 2θ 18.4, rel. 62, (1 1 0); 2θ 20.0, rel. 60, (1 1 1); 2θ 24.7, rel. 85, (1 2 1); 2θ 29.8, rel. 37, (1 1 3); 2θ 30.1, rel. 30, (1 3 0); 2θ 31.1, rel. 100, (0 0 4); 2θ 34.0, rel. 62, (2 0 1)

***

# 5
For Ce3Co11B4, DFT lattice parameters and positions (GGA-PBE) gives the calculated powder diffractogram in this record (Cu Ka).

Unit cell a=5.0205 b=5.0205 c=9.8655 alpha=90.00 beta=90.00 gamma=120.00
Space group P6/mmm (No. 191)
Inequivalent atoms, fractional coordinates:
Ce1 0.0000 0.0000 0.0000 x1
Ce2 0.0000 0.0000 0.3391 x2
Co1 0.0000 0.5000 0.2049 x6
Co2 0.0000 0.5000 0.5000 x3
Co3 0.3333 0.6667 0.0000 x2
B1 0.3333 0.6667 0.3505 x4

Principal peaks in the range 2θ = 15–90°, by angle:
2θ 20.4, rel. 16, (1 0 0); 2θ 34.2, rel. 100, (1 0 3); 2θ 35.8, rel. 27, (1 1 0); 2θ 41.5, rel. 96, (2 0 0); 2θ 45.5, rel. 95, (1 1 3); 2θ 63.3, rel. 33, (2 1 3); 2θ 71.1, rel. 24, (3 0 3); 2θ 72.0, rel. 15, (2 0 6); 2θ 75.8, rel. 23, (2 2 0); 2θ 85.8, rel. 14, (3 1 3)

***

# 6
For CuO, DFT lattice parameters and positions (GGA-PBE) gives the calculated powder diffractogram in this record (Cu Ka).

Unit cell a=5.7484 b=5.7484 c=12.6516 alpha=90.00 beta=90.00 gamma=90.00
Space group P4_2/nmc (No. 137, origin choice 2)
Inequivalent atoms, fractional coordinates:
Cu1 0.0026 0.2500 0.1512 x8
Cu2 0.0039 0.2500 0.4967 x8
O1 0.0359 0.2500 0.6403 x8
O2 0.0358 0.7500 0.6474 x8

Principal peaks in the range 2θ = 15–90°, by angle:
2θ 16.9, rel. 67, (1 0 1); 2θ 20.9, rel. 52, (1 0 2); 2θ 31.9, rel. 33, (2 0 1); 2θ 37.9, rel. 100, (2 0 3); 2θ 42.9, rel. 32, (0 0 6); 2θ 44.6, rel. 74, (2 2 0); 2θ 47.9, rel. 16, (2 0 5); 2θ 63.6, rel. 34, (2 2 6); 2θ 64.9, rel. 20, (4 0 0); 2θ 77.7, rel. 25, (4 2 3)

***

# 7
For Mg2GeB2Rh5, DFT lattice parameters and positions (GGA-PBE) gives the calculated powder diffractogram in this record (Cu Ka).

Unit cell a=9.4201 b=9.4201 c=2.9373 alpha=90.00 beta=90.00 gamma=90.00
Space group P4/mbm (No. 127)
Inequivalent atoms, fractional coordinates:
Mg1 0.1747 0.3253 0.0000 x4
Ge1 0.0000 0.0000 0.0000 x2
B1 0.1253 0.6253 0.0000 x4
Rh1 0.0000 0.5000 0.5000 x2
Rh2 0.0721 0.7864 0.5000 x8

Principal peaks in the range 2θ = 15–90°, by angle:
2θ 21.1, rel. 31, (2 1 0); 2θ 30.4, rel. 47, (0 0 1); 2θ 34.3, rel. 38, (3 2 0); 2θ 37.3, rel. 32, (2 1 1); 2θ 39.4, rel. 63, (4 1 0); 2θ 42.9, rel. 49, (4 2 0); 2θ 43.3, rel. 100, (3 1 1); 2θ 46.5, rel. 43, (3 2 1); 2θ 50.6, rel. 32, (4 1 1); 2θ 78.9, rel. 39, (7 1 1)